# 1
Calculated PXRD pattern of SrCa7Ti3Mn5O21 for λ = 1.5418 Å (Cu Kα), from a DFT-relaxed cell (PBE+U, the Materials Project).

The 10 most intense peaks (5 to 70 degrees two-theta), by angle:
11.33 deg, intensity 18; 32.00 deg, intensity 100; 32.28 deg, intensity 91; 32.43 deg, intensity 54; 32.60 deg, intensity 47; 45.77 deg, intensity 37; 46.46 deg, intensity 35; 46.60 deg, intensity 30; 57.17 deg, intensity 26; 57.79 deg, intensity 24

Structure:
```
SrCa7Ti3Mn5O21
1.0
7.797 0.000 0.000
0.079 7.818 0.000
0.107 0.068 7.929
Sr Ca Ti Mn O
1 7 3 5 21
Direct
0.000 0.000 0.000 Sr
0.008 0.525 0.486 Ca
0.027 0.541 0.975 Ca
0.029 0.002 0.528 Ca
0.474 0.968 0.022 Ca
0.481 0.535 0.494 Ca
0.491 0.562 0.998 Ca
0.494 0.988 0.462 Ca
0.271 0.269 0.757 Ti
0.734 0.277 0.250 Ti
0.735 0.284 0.783 Ti
0.216 0.265 0.265 Mn
0.243 0.759 0.255 Mn
0.264 0.768 0.750 Mn
0.744 0.764 0.248 Mn
0.771 0.763 0.741 Mn
0.016 0.781 0.761 O
0.169 0.263 0.977 O
0.179 0.281 0.550 O
0.182 0.522 0.239 O
0.239 0.751 0.494 O
0.248 0.773 0.013 O
0.257 0.007 0.262 O
0.264 0.521 0.778 O
0.285 0.020 0.749 O
0.494 0.726 0.252 O
0.512 0.292 0.722 O
0.516 0.275 0.348 O
0.519 0.751 0.748 O
0.701 0.009 0.206 O
0.727 0.312 0.013 O
0.764 0.732 0.000 O
0.775 0.518 0.290 O
0.785 0.807 0.487 O
0.829 0.078 0.739 O
0.835 0.477 0.711 O
0.939 0.217 0.336 O
```

---

# 2
Calculated PXRD pattern of Ba2MgMn2O6 for λ = 1.5418 Å (Cu Kα), from a DFT-relaxed cell (PBE+U, the Materials Project).

The 10 most intense peaks (5 to 70 degrees two-theta), by angle:
20.96 deg, intensity 68; 24.86 deg, intensity 64; 28.63 deg, intensity 45; 29.98 deg, intensity 100; 30.19 deg, intensity 45; 31.33 deg, intensity 55; 31.84 deg, intensity 55; 35.11 deg, intensity 45; 37.55 deg, intensity 53; 39.30 deg, intensity 49

Structure:
```
Ba2MgMn2O6
1.0
5.455 0.000 0.000
1.745 5.512 0.000
0.501 2.797 5.289
Ba Mg Mn O
2 1 2 6
Direct
0.000 0.000 0.000 Ba
0.368 0.528 0.753 Ba
0.768 0.843 0.583 Mg
0.246 0.290 0.396 Mn
0.735 0.396 0.284 Mn
0.035 0.047 0.455 O
0.383 0.594 0.279 O
0.453 0.057 0.709 O
0.568 0.161 0.233 O
0.902 0.530 0.461 O
0.921 0.549 0.943 O
```

---

# 3
Calculated PXRD pattern of Sr2CoReO6 for λ = 1.5418 Å (Cu Kα), from a DFT-relaxed cell (PBE+U, the Materials Project).

The 10 most intense peaks (5 to 70 degrees two-theta), by angle:
19.25 deg, intensity 36; 31.64 deg, intensity 100; 31.79 deg, intensity 53; 37.43 deg, intensity 13; 45.14 deg, intensity 17; 45.58 deg, intensity 30; 56.26 deg, intensity 21; 56.54 deg, intensity 42; 66.09 deg, intensity 19; 66.43 deg, intensity 9

Structure:
```
Sr2CoReO6
1.0
5.630 0.000 0.000
0.000 5.630 0.000
0.000 0.000 8.034
Sr Co Re O
4 2 2 12
Direct
0.000 0.000 0.250 Sr
0.000 0.000 0.750 Sr
0.500 0.500 0.250 Sr
0.500 0.500 0.750 Sr
0.000 0.500 0.000 Co
0.500 0.000 0.500 Co
0.000 0.500 0.500 Re
0.500 0.000 0.000 Re
0.000 0.500 0.257 O
0.000 0.500 0.743 O
0.194 0.779 0.500 O
0.221 0.194 0.000 O
0.281 0.301 0.500 O
0.301 0.719 0.000 O
0.500 0.000 0.243 O
0.500 0.000 0.757 O
0.699 0.281 0.000 O
0.719 0.699 0.500 O
0.779 0.806 0.000 O
0.806 0.221 0.500 O
```